No. 1
For Mg2ZnCoH, a cell relaxed with PBE gives the calculated powder XRD pattern in this record (CuKα).

Main lines, by angle (5 to 70 degrees two-theta):
two_theta	intensity
27.47	13.2
28.32	26.5
39.86	100.0
40.47	49.1
49.61	10.0
58.57	15.5

Atomic structure:
a = 4.4574 Å, b = 4.4574 Å, c = 3.2474 Å
α = 90.00°, β = 90.00°, γ = 90.00°
Sites, in units of the cell vectors:
Mg1 0.0000 0.5000 0.0000
Mg2 0.5000 0.0000 0.0000
Zn1 0.0000 0.0000 0.5000
Co1 0.5000 0.5000 0.5000
H1 0.5000 0.5000 0.0000

---

No. 2
For Nd3Ho3Tl5, a cell relaxed with PBE gives the calculated powder XRD pattern in this record (CuKα).

Main lines, by angle (5 to 70 degrees two-theta):
two_theta	intensity
15.58	71.0
27.13	47.3
31.46	44.6
33.38	84.3
37.03	100.0
46.52	55.9

Atomic structure:
a = 9.3001 Å, b = 9.3001 Å, c = 5.6873 Å
α = 90.00°, β = 90.00°, γ = 120.00°
Sites, in units of the cell vectors:
Nd1 0.0000 0.4336 0.0000
Nd2 0.4336 0.0000 0.0000
Nd3 0.5664 0.5664 0.0000
Ho1 0.0000 0.6803 0.5000
Ho2 0.3197 0.3197 0.5000
Ho3 0.6803 0.0000 0.5000
Tl1 0.0000 0.3122 0.5000
Tl2 0.3122 0.0000 0.5000
Tl3 0.3333 0.6667 0.5000
Tl4 0.6667 0.3333 0.5000
Tl5 0.6878 0.6878 0.5000

---

No. 3
For Pm2BiO5, a cell relaxed with PBE gives the calculated powder XRD pattern in this record (CuKα).

Main lines, by angle (5 to 70 degrees two-theta):
two_theta	intensity
27.22	90.3
27.63	100.0
28.26	98.5
28.78	85.2
32.09	48.6
33.36	41.5

Atomic structure:
a = 6.8811 Å, b = 7.7820 Å, c = 10.1533 Å
α = 82.43°, β = 70.30°, γ = 88.83°
Sites, in units of the cell vectors:
Pm1 0.0572 0.1993 0.1746
Pm2 0.2326 0.1256 0.5050
Pm3 0.2658 0.6187 0.5033
Pm4 0.4432 0.5904 0.8375
Pm5 0.5568 0.4096 0.1625
Pm6 0.7342 0.3813 0.4967
Pm7 0.7674 0.8744 0.4950
Pm8 0.9428 0.8007 0.8254
Bi1 0.0876 0.6646 0.1803
Bi2 0.4118 0.0730 0.8234
Bi3 0.5882 0.9270 0.1766
Bi4 0.9124 0.3354 0.8197
O1 0.0138 0.3734 0.5958
O2 0.0515 0.8478 0.5914
O3 0.0816 0.0981 0.7722
O4 0.1470 0.5358 0.7724
O5 0.1681 0.7811 0.9640
O6 0.2709 0.4507 0.0780
O7 0.3782 0.1396 0.2010
O8 0.3835 0.6935 0.2126
O9 0.4448 0.3774 0.4069
O10 0.4871 0.9000 0.3973
O11 0.5129 0.1000 0.6027
O12 0.5552 0.6226 0.5931
O13 0.6165 0.3065 0.7874
O14 0.6218 0.8604 0.7990
O15 0.7291 0.5493 0.9220
O16 0.8319 0.2189 0.0360
O17 0.8530 0.4642 0.2276
O18 0.9184 0.9019 0.2278
O19 0.9485 0.1522 0.4086
O20 0.9862 0.6266 0.4042

---

No. 4
For TlP3Se3, a cell relaxed with PBE gives the calculated powder XRD pattern in this record (CuKα).

Main lines, by angle (5 to 70 degrees two-theta):
two_theta	intensity
22.61	37.0
29.82	34.3
29.96	100.0
33.92	49.2
35.94	77.3
54.36	44.5

Atomic structure:
a = 9.1538 Å, b = 9.1538 Å, c = 4.5293 Å
α = 90.00°, β = 90.00°, γ = 120.00°
Sites, in units of the cell vectors:
Tl1 0.3333 0.6667 0.2500
Tl2 0.6667 0.3333 0.7500
P1 0.9998 0.2004 0.2500
P2 0.0002 0.7996 0.7500
P3 0.2004 0.2006 0.7500
P4 0.2006 0.0002 0.2500
P5 0.7994 0.9998 0.7500
P6 0.7996 0.7994 0.2500
Se1 0.0741 0.3725 0.7500
Se2 0.2983 0.9259 0.7500
Se3 0.3725 0.2983 0.2500
Se4 0.6275 0.7017 0.7500
Se5 0.7017 0.0741 0.2500
Se6 0.9259 0.6275 0.2500

---

No. 5
For GaNi5Ir2, a cell relaxed with PBE gives the calculated powder XRD pattern in this record (CuKα).

Main lines, by angle (5 to 70 degrees two-theta):
two_theta	intensity
17.13	44.6
30.05	24.6
42.71	100.0
42.90	98.0
49.66	63.5
50.21	30.9

Atomic structure:
a = 6.3243 Å, b = 5.7944 Å, c = 4.4712 Å
α = 74.82°, β = 62.16°, γ = 43.03°
Sites, in units of the cell vectors:
Ga1 0.0000 0.0000 0.0000
Ni1 0.1242 0.1242 0.3758
Ni2 0.3758 0.3758 0.1242
Ni3 0.5000 0.5000 0.5000
Ni4 0.6242 0.6242 0.8758
Ni5 0.8758 0.8758 0.6242
Ir1 0.2546 0.2546 0.7454
Ir2 0.7454 0.7454 0.2546

---

No. 6
For SrY4HoSe8, a cell relaxed with PBE gives the calculated powder XRD pattern in this record (CuKα).

Main lines, by angle (5 to 70 degrees two-theta):
two_theta	intensity
12.70	25.8
20.82	18.8
24.47	65.2
29.62	70.4
38.78	45.2
42.38	100.0

Atomic structure:
a = 8.5261 Å, b = 8.5261 Å, c = 8.5261 Å
α = 60.08°, β = 60.08°, γ = 60.08°
Sites, in units of the cell vectors:
Sr1 0.0000 0.0000 0.0000
Y1 0.1195 0.6266 0.6266
Y2 0.2495 0.2495 0.2495
Y3 0.6266 0.1195 0.6266
Y4 0.6266 0.6266 0.1195
Ho1 0.6267 0.6267 0.6267
Se1 0.3823 0.3823 0.3823
Se2 0.3836 0.3836 0.8511
Se3 0.3836 0.8511 0.3836
Se4 0.4156 0.8603 0.8603
Se5 0.8511 0.3836 0.3836
Se6 0.8603 0.4156 0.8603
Se7 0.8603 0.8603 0.4156
Se8 0.8614 0.8614 0.8614